Record 1
# NaSm3SiS7
Simulated powder XRD pattern, Cu Ka. Input: DFT lattice parameters and positions (GGA-PBE).
Peak positions follow from Bragg's law for the DFT cell and can differ from measured ones.

Cell and atoms:
```
data_NaSm3SiS7
_chemical_formula_sum 'Na2 Sm6 Si2 S14'
_space_group_name_H-M_alt 'P 63'
_space_group_IT_number 173
_cell_length_a 10.1915
_cell_length_b 10.1915
_cell_length_c 5.7502
_cell_angle_alpha 90.00
_cell_angle_beta 90.00
_cell_angle_gamma 120.00
loop_
_space_group_symop_operation_xyz
'x,y,z'
'x-y,x,z+1/2'
'-y,x-y,z'
'-x,-y,z+1/2'
'-x+y,-x,z'
'y,-x+y,z+1/2'
loop_
_atom_site_label
_atom_site_type_symbol
_atom_site_fract_x
_atom_site_fract_y
_atom_site_fract_z
Na1 Na 0.0000 0.0000 0.0000
Sm1 Sm 0.1256 0.7647 0.2305
Si1 Si 0.3333 0.6667 0.6423
S1 S 0.0902 0.8305 0.7516
S2 S 0.1129 0.5223 0.4945
S3 S 0.3333 0.6667 0.0101
```

Largest 10 diffraction maxima, by intensity, 2θ = 10–90°:
- 25.44 deg, intensity 100.0, (2 0 1)
- 40.03 deg, intensity 51.9, (1 3 1)
- 36.71 deg, intensity 51.5, (3 1 0)
- 23.32 deg, intensity 45.0, (1 1 1)
- 41.46 deg, intensity 40.7, (2 1 2)
- 26.72 deg, intensity 37.5, (2 1 0)
- 37.33 deg, intensity 35.8, (2 0 2)
- 18.42 deg, intensity 33.3, (1 0 1)
- 20.12 deg, intensity 32.4, (2 0 0)
- 35.22 deg, intensity 31.3, (2 2 0)


Record 2
# NaY3SiS7
Simulated powder XRD pattern, Cu Ka. Input: DFT lattice parameters and positions (GGA-PBE).
Peak positions follow from Bragg's law for the DFT cell and can differ from measured ones.

Cell and atoms:
```
data_NaY3SiS7
_chemical_formula_sum 'Na2 Y6 Si2 S14'
_space_group_name_H-M_alt 'P 63'
_space_group_IT_number 173
_cell_length_a 9.9851
_cell_length_b 9.9851
_cell_length_c 5.7561
_cell_angle_alpha 90.00
_cell_angle_beta 90.00
_cell_angle_gamma 120.00
loop_
_space_group_symop_operation_xyz
'x,y,z'
'x-y,x,z+1/2'
'-y,x-y,z'
'-x,-y,z+1/2'
'-x+y,-x,z'
'y,-x+y,z+1/2'
loop_
_atom_site_label
_atom_site_type_symbol
_atom_site_fract_x
_atom_site_fract_y
_atom_site_fract_z
Na1 Na 0.0000 0.0000 0.0000
Y1 Y 0.1311 0.7689 0.2159
Si1 Si 0.3333 0.6667 0.6282
S1 S 0.0973 0.8347 0.7529
S2 S 0.1087 0.5226 0.4771
S3 S 0.3333 0.6667 0.9968
```

Largest 10 diffraction maxima, by intensity, 2θ = 10–90°:
- 37.52 deg, intensity 100.0, (3 1 0)
- 35.99 deg, intensity 78.2, (2 2 0)
- 25.77 deg, intensity 71.9, (2 0 1)
- 41.81 deg, intensity 43.9, (2 1 2)
- 40.76 deg, intensity 39.2, (1 3 1)
- 34.81 deg, intensity 34.1, (3 0 1)
- 23.59 deg, intensity 30.0, (1 1 1)
- 50.93 deg, intensity 27.6, (4 1 1)
- 20.54 deg, intensity 27.5, (2 0 0)
- 31.48 deg, intensity 27.4, (2 1 1)


Record 3
# Na2SnS
Simulated powder XRD pattern, Cu Ka. Input: DFT lattice parameters and positions (GGA-PBE).
Peak positions follow from Bragg's law for the DFT cell and can differ from measured ones.

Cell and atoms:
```
data_Na2SnS
_chemical_formula_sum 'Na8 Sn4 S4'
_space_group_name_H-M_alt 'P -1'
_space_group_IT_number 2
_cell_length_a 6.727
_cell_length_b 6.866
_cell_length_c 10.848
_cell_angle_alpha 89.04
_cell_angle_beta 72.67
_cell_angle_gamma 81.81
loop_
_space_group_symop_operation_xyz
'x,y,z'
'-x,-y,-z'
loop_
_atom_site_label
_atom_site_type_symbol
_atom_site_fract_x
_atom_site_fract_y
_atom_site_fract_z
Na1 Na 0.000 0.000 0.000
Na2 Na 0.000 0.500 0.500
Na3 Na 0.002 0.490 0.169
Na4 Na 0.016 0.999 0.662
Na5 Na 0.500 0.251 0.590
Sn1 Sn 0.490 0.251 0.275
Sn2 Sn 0.496 0.747 0.106
S1 S 0.267 0.133 0.125
S2 S 0.270 0.643 0.956
```

Largest 10 diffraction maxima, by intensity, 2θ = 10–90°:
- 13.95 deg, intensity 100.0, (1 0 0)
- 31.61 deg, intensity 50.9, (1 -2 0)
- 29.32 deg, intensity 46.8, (1 -1 3)
- 28.08 deg, intensity 41.6, (2 0 0)
- 33.43 deg, intensity 39.9, (2 1 3)
- 34.59 deg, intensity 34.3, (1 1 -3)
- 27.94 deg, intensity 34.3, (1 2 0)
- 26.24 deg, intensity 20.3, (0 2 0)
- 27.30 deg, intensity 17.8, (1 1 -2)
- 21.86 deg, intensity 17.0, (1 1 2)


Record 4
# Na4Sn3S8
Simulated powder XRD pattern, Cu Ka. Input: DFT lattice parameters and positions (GGA-PBE).
Peak positions follow from Bragg's law for the DFT cell and can differ from measured ones.

Cell and atoms:
```
data_Na4Sn3S8
_chemical_formula_sum 'Na16 Sn12 S32'
_space_group_name_H-M_alt 'C 1 2/c 1'
_space_group_IT_number 15
_cell_length_a 11.438
_cell_length_b 7.433
_cell_length_c 17.862
_cell_angle_alpha 90.00
_cell_angle_beta 94.96
_cell_angle_gamma 90.00
loop_
_space_group_symop_operation_xyz
'x,y,z'
'-x,-y,-z'
'-x,y,-z+1/2'
'x,-y,z+1/2'
'x+1/2,y+1/2,z'
'-x+1/2,-y+1/2,-z'
'-x+1/2,y+1/2,-z+1/2'
'x+1/2,-y+1/2,z+1/2'
loop_
_atom_site_label
_atom_site_type_symbol
_atom_site_fract_x
_atom_site_fract_y
_atom_site_fract_z
Na1 Na 0.141 0.127 0.164
Na2 Na 0.237 0.165 0.376
Sn1 Sn 0.000 0.417 0.750
Sn2 Sn 0.101 0.333 0.968
S1 S 0.020 0.182 0.850
S2 S 0.020 0.349 0.427
S3 S 0.183 0.430 0.253
S4 S 0.203 0.031 0.016
```

Largest 10 diffraction maxima, by intensity, 2θ = 10–90°:
- 14.23 deg, intensity 100.0, (1 1 0)
- 14.85 deg, intensity 98.0, (1 1 -1)
- 26.43 deg, intensity 83.7, (3 1 -1)
- 33.13 deg, intensity 61.5, (2 2 3)
- 32.83 deg, intensity 54.8, (1 1 -6)
- 25.15 deg, intensity 48.6, (1 1 4)
- 19.96 deg, intensity 44.2, (0 0 4)
- 43.60 deg, intensity 34.2, (5 1 2)
- 31.42 deg, intensity 30.2, (3 1 3)
- 15.55 deg, intensity 29.1, (2 0 0)


Record 5
# NaTbS2
Simulated powder XRD pattern, Cu Ka. Input: DFT lattice parameters and positions (GGA-PBE).
Peak positions follow from Bragg's law for the DFT cell and can differ from measured ones.

Cell and atoms:
```
data_NaTbS2
_chemical_formula_sum 'Na3 Tb3 S6'
_space_group_name_H-M_alt 'R -3 m'
_space_group_IT_number 166
_space_group_name_Hall '-R 3 2"'
_cell_length_a 4.0117
_cell_length_b 4.0117
_cell_length_c 19.9380
_cell_angle_alpha 90.00
_cell_angle_beta 90.00
_cell_angle_gamma 120.00
loop_
_atom_site_label
_atom_site_type_symbol
_atom_site_fract_x
_atom_site_fract_y
_atom_site_fract_z
Na1 Na 0.0000 0.0000 0.0000
Tb1 Tb 0.0000 0.0000 0.5000
S1 S 0.0000 0.0000 0.2428
```

Largest 10 diffraction maxima, by intensity, 2θ = 10–90°:
- 31.39 deg, intensity 100.0, (1 0 4)
- 13.32 deg, intensity 82.9, (0 0 3)
- 26.03 deg, intensity 43.7, (1 0 1)
- 45.21 deg, intensity 35.4, (1 1 0)
- 44.75 deg, intensity 35.3, (0 1 8)
- 27.18 deg, intensity 30.1, (0 1 2)
- 47.34 deg, intensity 21.0, (1 1 3)
- 40.97 deg, intensity 18.4, (1 0 7)
- 56.07 deg, intensity 18.2, (0 2 4)
- 34.23 deg, intensity 17.9, (0 1 5)


Record 6
# Na3Ti10S20
Simulated powder XRD pattern, Cu Ka. Input: DFT lattice parameters and positions (GGA-PBE).
Peak positions follow from Bragg's law for the DFT cell and can differ from measured ones.

Cell and atoms:
```
data_Na3Ti10S20
_chemical_formula_sum 'Na6 Ti20 S40'
_space_group_name_H-M_alt 'C 1 m 1'
_space_group_IT_number 8
_cell_length_a 5.938
_cell_length_b 17.113
_cell_length_c 13.128
_cell_angle_alpha 90.00
_cell_angle_beta 98.71
_cell_angle_gamma 90.00
loop_
_space_group_symop_operation_xyz
'x,y,z'
'x,-y,z'
'x+1/2,y+1/2,z'
'x+1/2,-y+1/2,z'
loop_
_atom_site_label
_atom_site_type_symbol
_atom_site_fract_x
_atom_site_fract_y
_atom_site_fract_z
Na1 Na 0.000 0.000 0.000
Na2 Na 0.344 0.196 0.009
Ti1 Ti 0.095 0.000 0.282
Ti2 Ti 0.099 0.401 0.281
Ti3 Ti 0.100 0.200 0.282
Ti4 Ti 0.246 0.401 0.728
Ti5 Ti 0.247 0.201 0.727
Ti6 Ti 0.249 0.000 0.728
S1 S 0.115 0.500 0.840
S2 S 0.119 0.101 0.841
S3 S 0.119 0.300 0.842
S4 S 0.226 0.099 0.168
S5 S 0.226 0.500 0.168
S6 S 0.229 0.300 0.168
S7 S 0.377 0.300 0.620
S8 S 0.378 0.100 0.620
S9 S 0.379 0.500 0.620
S10 S 0.467 0.000 0.389
S11 S 0.467 0.200 0.389
S12 S 0.468 0.400 0.389
```

Largest 10 diffraction maxima, by intensity, 2θ = 10–90°:
- 13.65 deg, intensity 100.0, (0 0 2)
- 35.44 deg, intensity 93.8, (2 0 2)
- 32.29 deg, intensity 44.8, (1 5 -2)
- 53.50 deg, intensity 41.1, (0 10 0)
- 42.91 deg, intensity 32.0, (2 0 -5)
- 54.42 deg, intensity 24.7, (1 5 6)
- 44.67 deg, intensity 23.0, (1 5 -5)
- 39.64 deg, intensity 20.1, (2 0 3)
- 55.49 deg, intensity 12.1, (3 5 -3)
- 88.71 deg, intensity 9.7, (3 5 8)


Record 7
# NaTiVS4
Simulated powder XRD pattern, Cu Ka. Input: DFT lattice parameters and positions (GGA-PBE).
Peak positions follow from Bragg's law for the DFT cell and can differ from measured ones.

Cell and atoms:
```
data_NaTiVS4
_chemical_formula_sum 'Na2 Ti2 V2 S8'
_space_group_name_H-M_alt 'C 1 m 1'
_space_group_IT_number 8
_cell_length_a 14.182
_cell_length_b 3.430
_cell_length_c 5.906
_cell_angle_alpha 90.00
_cell_angle_beta 98.02
_cell_angle_gamma 90.00
loop_
_space_group_symop_operation_xyz
'x,y,z'
'x,-y,z'
'x+1/2,y+1/2,z'
'x+1/2,-y+1/2,z'
loop_
_atom_site_label
_atom_site_type_symbol
_atom_site_fract_x
_atom_site_fract_y
_atom_site_fract_z
Na1 Na 0.000 0.000 0.000
Ti1 Ti 0.250 0.000 0.420
V1 V 0.250 0.500 0.903
S1 S 0.148 0.000 0.713
S2 S 0.150 0.500 0.208
S3 S 0.349 0.000 0.107
S4 S 0.352 0.500 0.611
```

Largest 10 diffraction maxima, by intensity, 2θ = 10–90°:
- 12.61 deg, intensity 100.0, (2 0 0)
- 37.11 deg, intensity 82.7, (3 1 1)
- 31.34 deg, intensity 24.8, (1 1 1)
- 53.37 deg, intensity 23.3, (0 2 0)
- 53.68 deg, intensity 18.4, (1 1 -3)
- 42.80 deg, intensity 14.7, (5 1 -1)
- 31.46 deg, intensity 13.7, (2 0 -2)
- 46.13 deg, intensity 11.0, (5 1 1)
- 66.88 deg, intensity 8.2, (4 2 -2)
- 53.45 deg, intensity 7.0, (6 0 2)


Record 8
# NaTl3S2
Simulated powder XRD pattern, Cu Ka. Input: DFT lattice parameters and positions (GGA-PBE).
Peak positions follow from Bragg's law for the DFT cell and can differ from measured ones.

Cell and atoms:
```
data_NaTl3S2
_chemical_formula_sum 'Na2 Tl6 S4'
_space_group_name_H-M_alt 'P m c 21'
_space_group_IT_number 26
_cell_length_a 4.293
_cell_length_b 12.377
_cell_length_c 7.309
_cell_angle_alpha 90.00
_cell_angle_beta 90.00
_cell_angle_gamma 90.00
loop_
_space_group_symop_operation_xyz
'x,y,z'
'-x,-y,z+1/2'
'-x,y,z'
'x,-y,z+1/2'
loop_
_atom_site_label
_atom_site_type_symbol
_atom_site_fract_x
_atom_site_fract_y
_atom_site_fract_z
Na1 Na 0.000 0.141 0.000
Tl1 Tl 0.000 0.372 0.325
Tl2 Tl 0.500 0.117 0.518
Tl3 Tl 0.500 0.377 0.856
S1 S 0.000 0.250 0.672
S2 S 0.500 0.230 0.174
```

Largest 10 diffraction maxima, by intensity, 2θ = 10–90°:
- 28.09 deg, intensity 100.0, (1 2 1)
- 25.41 deg, intensity 35.0, (0 1 2)
- 43.32 deg, intensity 25.7, (1 1 3)
- 28.85 deg, intensity 24.7, (0 4 0)
- 32.50 deg, intensity 23.5, (1 3 1)
- 50.66 deg, intensity 19.0, (1 6 1)
- 18.79 deg, intensity 18.8, (0 2 1)
- 25.11 deg, intensity 17.0, (1 1 1)
- 32.74 deg, intensity 17.0, (0 3 2)
- 42.09 deg, intensity 14.9, (2 0 0)


Record 9
# Na2US3
Simulated powder XRD pattern, Cu Ka. Input: DFT lattice parameters and positions (GGA-PBE).
Peak positions follow from Bragg's law for the DFT cell and can differ from measured ones.

Cell and atoms:
```
data_Na2US3
_chemical_formula_sum 'Na8 U4 S12'
_space_group_name_H-M_alt 'C 1 2/m 1'
_space_group_IT_number 12
_cell_length_a 6.999
_cell_length_b 12.113
_cell_length_c 7.029
_cell_angle_alpha 90.00
_cell_angle_beta 109.58
_cell_angle_gamma 90.00
loop_
_space_group_symop_operation_xyz
'x,y,z'
'-x,-y,-z'
'-x,y,-z'
'x,-y,z'
'x+1/2,y+1/2,z'
'-x+1/2,-y+1/2,-z'
'-x+1/2,y+1/2,-z'
'x+1/2,-y+1/2,z'
loop_
_atom_site_label
_atom_site_type_symbol
_atom_site_fract_x
_atom_site_fract_y
_atom_site_fract_z
Na1 Na 0.000 0.000 0.000
Na2 Na 0.000 0.160 0.500
Na3 Na 0.000 0.500 0.500
U1 U 0.000 0.333 0.000
S1 S 0.220 0.500 0.229
S2 S 0.245 0.322 0.774
```

Largest 10 diffraction maxima, by intensity, 2θ = 10–90°:
- 31.27 deg, intensity 100.0, (1 3 1)
- 13.37 deg, intensity 81.4, (0 0 1)
- 44.86 deg, intensity 47.3, (3 3 -1)
- 25.86 deg, intensity 44.4, (1 3 0)
- 26.98 deg, intensity 31.9, (0 0 2)
- 15.30 deg, intensity 29.4, (1 1 0)
- 44.72 deg, intensity 23.5, (1 3 -3)
- 17.12 deg, intensity 22.5, (1 1 -1)
- 47.04 deg, intensity 22.2, (3 3 -2)
- 34.15 deg, intensity 18.4, (2 0 1)